Simulated X-ray powder pattern of Ho2CuO4 for Cu Ka, from the PBE geometry in the Materials Project.

Cell and atoms:
```
Ho2CuO4
1.0
-1.931 1.931 5.840
1.931 -1.931 5.840
1.931 1.931 -5.840
Ho Cu O
2 1 4
Direct
0.152 0.152 0.000
0.848 0.848 0.000
0.500 0.500 0.000
0.000 0.500 0.500
0.250 0.750 0.500
0.500 0.000 0.500
0.750 0.250 0.500
```

Principal peaks in the range 5 to 70 degrees two-theta, low angle first:
- 24.27 deg, I = 201
- 32.66 deg, I = 1000
- 32.79 deg, I = 361
- 45.47 deg, I = 171
- 46.66 deg, I = 76
- 47.05 deg, I = 255
- 58.20 deg, I = 156
- 58.45 deg, I = 375
- 68.43 deg, I = 95
- 68.74 deg, I = 77



Simulated X-ray powder pattern of Sr2HoCu3Pb2O8 for Cu Ka, from the PBE geometry in the Materials Project.

Cell and atoms:
```
Sr2HoCu3Pb2O8
1.0
3.829 0.000 0.000
0.000 3.829 0.000
0.000 0.000 15.992
Sr Ho Cu Pb O
2 1 3 2 8
Direct
0.000 0.000 0.221
0.000 0.000 0.779
0.000 0.000 0.000
0.000 0.000 0.500
0.500 0.500 0.103
0.500 0.500 0.897
0.500 0.500 0.387
0.500 0.500 0.613
0.000 0.000 0.384
0.000 0.000 0.616
0.000 0.500 0.090
0.000 0.500 0.910
0.500 0.000 0.090
0.500 0.000 0.910
0.500 0.500 0.251
0.500 0.500 0.749
```

Principal peaks in the range 5 to 70 degrees two-theta, low angle first:
- 11.07 deg, I = 125
- 23.90 deg, I = 289
- 27.90 deg, I = 106
- 32.38 deg, I = 1000
- 33.09 deg, I = 670
- 41.27 deg, I = 170
- 43.81 deg, I = 214
- 47.49 deg, I = 308
- 57.29 deg, I = 152
- 58.65 deg, I = 378



Simulated X-ray powder pattern of Sr2HoCu3Pb2O8 for Cu Ka, from the PBE geometry in the Materials Project.

Cell and atoms:
```
Sr2HoCu3Pb2O8
1.0
15.930 0.000 0.000
0.000 5.455 0.000
-0.047 0.000 5.422
Sr Ho Cu Pb O
4 2 6 4 16
Direct
0.220 0.001 0.006
0.220 0.499 0.506
0.780 0.501 0.494
0.780 0.999 0.994
0.000 0.000 0.000
0.000 0.500 0.500
0.103 0.501 0.002
0.103 0.999 0.502
0.500 0.000 0.000
0.500 0.500 0.500
0.897 0.001 0.498
0.897 0.499 0.998
0.388 0.005 0.496
0.388 0.495 0.996
0.612 0.505 0.004
0.612 0.995 0.504
0.090 0.750 0.252
0.090 0.750 0.752
0.092 0.250 0.252
0.092 0.250 0.752
0.251 0.509 0.007
0.251 0.991 0.507
0.385 0.058 0.047
0.385 0.442 0.547
0.615 0.558 0.453
0.615 0.942 0.953
0.749 0.009 0.493
0.749 0.491 0.993
0.908 0.750 0.248
0.908 0.750 0.748
0.910 0.250 0.248
0.910 0.250 0.748
```

Principal peaks in the range 5 to 70 degrees two-theta, low angle first:
- 11.11 deg, I = 261
- 23.80 deg, I = 590
- 28.01 deg, I = 212
- 32.26 deg, I = 962
- 32.47 deg, I = 1000
- 32.84 deg, I = 657
- 33.04 deg, I = 650
- 43.68 deg, I = 320
- 47.28 deg, I = 597
- 58.40 deg, I = 372



Simulated X-ray powder pattern of SrHo2CuO5 for Cu Ka, from the PBE geometry in the Materials Project.

Cell and atoms:
```
SrHo2CuO5
1.0
12.045 0.000 0.000
0.000 5.621 0.000
0.000 0.000 7.149
Sr Ho Cu O
4 8 4 20
Direct
0.088 0.250 0.079
0.412 0.750 0.579
0.588 0.250 0.421
0.912 0.750 0.921
0.073 0.750 0.395
0.214 0.250 0.613
0.286 0.750 0.113
0.427 0.250 0.895
0.573 0.750 0.105
0.714 0.250 0.887
0.786 0.750 0.387
0.927 0.250 0.605
0.163 0.750 0.780
0.337 0.250 0.280
0.663 0.750 0.720
0.837 0.250 0.220
0.067 0.507 0.663
0.067 0.993 0.663
0.094 0.750 0.076
0.224 0.005 0.350
0.224 0.495 0.350
0.276 0.505 0.850
0.276 0.995 0.850
0.406 0.250 0.576
0.433 0.007 0.163
0.433 0.493 0.163
0.567 0.507 0.837
0.567 0.993 0.837
0.594 0.750 0.424
0.724 0.005 0.150
0.724 0.495 0.150
0.776 0.505 0.650
0.776 0.995 0.650
0.906 0.250 0.924
0.933 0.007 0.337
0.933 0.493 0.337
```

Principal peaks in the range 5 to 70 degrees two-theta, low angle first:
- 14.41 deg, I = 209
- 30.07 deg, I = 1000
- 30.55 deg, I = 692
- 31.84 deg, I = 499
- 32.26 deg, I = 272
- 41.14 deg, I = 202
- 45.96 deg, I = 381
- 46.94 deg, I = 229
- 55.64 deg, I = 176
- 62.10 deg, I = 207



Repeat the first record exactly.
Simulated X-ray powder pattern of Ho2CuO4 for Cu Ka, from the PBE geometry in the Materials Project.

Cell and atoms:
```
Ho2CuO4
1.0
-1.931 1.931 5.840
1.931 -1.931 5.840
1.931 1.931 -5.840
Ho Cu O
2 1 4
Direct
0.152 0.152 0.000
0.848 0.848 0.000
0.500 0.500 0.000
0.000 0.500 0.500
0.250 0.750 0.500
0.500 0.000 0.500
0.750 0.250 0.500
```

Principal peaks in the range 5 to 70 degrees two-theta, low angle first:
- 24.27 deg, I = 201
- 32.66 deg, I = 1000
- 32.79 deg, I = 361
- 45.47 deg, I = 171
- 46.66 deg, I = 76
- 47.05 deg, I = 255
- 58.20 deg, I = 156
- 58.45 deg, I = 375
- 68.43 deg, I = 95
- 68.74 deg, I = 77



- Which formula does entry 3 have?
  Sr2HoCu3Pb2O8